The following is a calculated powder XRD pattern of Cr3Ag4. It was derived from a crystal structure in Alexandria, relaxed with PBE, using Cu Kα (weighted mean of Kα1 and Kα2).

The 10 most intense peaks (15° ≤ 2θ ≤ 90°), by angle:
2θ/deg	I (rel.)	hkl
32.1	15	1 0 3
35.0	15	1 0 5
39.0	100	1 0 7
41.6	10	0 0 12
43.5	44	1 1 0
61.7	11	1 1 12
63.2	13	2 0 0
67.5	10	1 1 14
76.6	11	1 0 19
76.8	24	2 1 7

Structure:
abc: 2.942 2.942 26.075
angles: 90.00 90.00 90.00
Space group I4/mmm (No. 139)
Unique sites:
Cr (0.000, 0.000, 0.000) [2 per cell]
Cr (0.000, 0.000, 0.269) [4 per cell]
Ag (0.000, 0.000, 0.154) [4 per cell]
Ag (0.000, 0.000, 0.425) [4 per cell]

***

The following is a calculated powder XRD pattern of CrAg3. It was derived from a crystal structure in Alexandria, relaxed with PBE, using Cu Kα (weighted mean of Kα1 and Kα2).

The 10 most intense peaks (15° ≤ 2θ ≤ 90°), by angle:
2θ/deg	I (rel.)	hkl
24.0	11	1 1 0
34.1	19	2 0 0
38.3	100	2 1 0
42.1	41	2 1 1
61.1	13	2 2 2
63.9	21	3 2 0
66.6	19	3 2 1
71.9	11	4 0 0
82.1	5	4 2 0
84.5	19	4 2 1

Structure:
abc: 5.252 5.252 5.252
angles: 90.00 90.00 90.00
Space group Pm-3n (No. 223)
Unique sites:
Cr (0.000, 0.000, 0.000) [2 per cell]
Ag (0.000, 0.250, 0.500) [6 per cell]